1.
Starting from a DFT-relaxed cell (GGA-PBE, Alexandria), the X-ray diffraction stick pattern of LaY2 was simulated for a wavelength of 1.5418 Å.
Lines closer than 0.1° are merged.

```
LaY2
1.0
3.6053 0.0000 0.0000
0.0000 35.8775 0.0000
-1.6693 0.0000 3.1194
La Y
4 8
direct
0.0000 0.2074 0.2500
0.0000 0.7926 0.7500
0.5000 0.2926 0.7500
0.5000 0.7074 0.2500
0.0000 0.0416 0.7500
0.0000 0.3777 0.7500
0.0000 0.6223 0.2500
0.0000 0.9584 0.2500
0.5000 0.1223 0.2500
0.5000 0.4584 0.2500
0.5000 0.5416 0.7500
0.5000 0.8777 0.7500
```

Main lines, by angle (2θ from 10° to 80°):
| 2θ/deg | I_rel |
| --- | --- |
| 29.89 | 994 |
| 30.12 | 1000 |
| 30.34 | 706 |
| 30.76 | 943 |
| 33.16 | 661 |
| 35.04 | 552 |

2.
Starting from a DFT-relaxed cell (GGA-PBE, Alexandria), the X-ray diffraction stick pattern of PrNd4Tm2 was simulated for a wavelength of 1.5418 Å.
Lines closer than 0.1° are merged.

```
PrNd4Tm2
1.0
0.0000 12.2077 3.2443
6.0320 0.0000 3.2443
6.0320 12.2077 0.0000
Pr Nd Tm
2 8 4
direct
0.0000 0.0000 0.0000
0.2500 0.2500 0.2500
0.0790 0.4956 0.1341
0.1159 0.9586 0.1710
0.4909 0.5347 0.3655
0.4956 0.0790 0.2914
0.5347 0.4909 0.6089
0.6411 0.8845 0.7153
0.8845 0.6411 0.7591
0.9586 0.1159 0.7544
0.0550 0.5696 0.8781
0.3719 0.7527 0.1950
0.5696 0.0550 0.4973
0.7527 0.3719 0.6804
```

Main lines, by angle (2θ from 10° to 80°):
| 2θ/deg | I_rel |
| --- | --- |
| 30.01 | 1000 |
| 30.53 | 322 |
| 31.31 | 649 |
| 31.96 | 320 |
| 32.17 | 234 |
| 36.82 | 283 |

3.
Starting from a DFT-relaxed cell (GGA-PBE, Alexandria), the X-ray diffraction stick pattern of NdHo6Tm6 was simulated for a wavelength of 1.5418 Å.
Lines closer than 0.1° are merged.

```
NdHo6Tm6
1.0
3.2236 -5.9126 0.0000
3.2236 5.9126 0.0000
0.0000 0.0000 11.0749
Nd Ho Tm
1 6 6
direct
0.0000 0.0000 0.0000
0.0000 0.0000 0.3492
0.0000 0.0000 0.6508
0.2977 0.7023 0.0000
0.3652 0.6348 0.5000
0.6348 0.3652 0.5000
0.7023 0.2977 0.0000
0.0000 0.5000 0.2607
0.0000 0.5000 0.7393
0.5000 0.0000 0.2607
0.5000 0.0000 0.7393
0.5000 0.5000 0.2097
0.5000 0.5000 0.7903
```

Main lines, by angle (2θ from 10° to 80°):
| 2θ/deg | I_rel |
| --- | --- |
| 28.87 | 754 |
| 31.11 | 700 |
| 31.61 | 623 |
| 32.13 | 495 |
| 35.62 | 1000 |
| 36.12 | 524 |

4.
Starting from a DFT-relaxed cell (GGA-PBE, Alexandria), the X-ray diffraction stick pattern of Ce3GaSb2 was simulated for a wavelength of 1.5418 Å.
Lines closer than 0.1° are merged.

```
Ce3GaSb2
1.0
6.2126 0.0000 0.0000
0.0000 14.6068 0.0000
0.0000 0.0000 4.5552
Ce Ga Sb
6 2 4
direct
0.0000 0.0000 0.0000
0.0000 0.3645 0.5000
0.0000 0.6355 0.5000
0.5000 0.1355 0.5000
0.5000 0.5000 0.0000
0.5000 0.8645 0.5000
0.0000 0.5000 0.0000
0.5000 0.0000 0.0000
0.0000 0.1516 0.5000
0.0000 0.8484 0.5000
0.5000 0.3484 0.5000
0.5000 0.6516 0.5000
```

Main lines, by angle (2θ from 10° to 80°):
| 2θ/deg | I_rel |
| --- | --- |
| 19.49 | 345 |
| 23.01 | 528 |
| 28.74 | 751 |
| 31.40 | 1000 |
| 43.08 | 835 |
| 49.63 | 328 |

5.
Starting from a DFT-relaxed cell (GGA-PBE, Alexandria), the X-ray diffraction stick pattern of BaCaPb2F8 was simulated for a wavelength of 1.5418 Å.
Lines closer than 0.1° are merged.

```
BaCaPb2F8
1.0
4.2361 0.0000 0.0000
0.0000 5.9345 0.0000
0.0000 0.0000 8.3767
Ba Ca Pb F
1 1 2 8
direct
0.0000 0.0000 0.0000
0.0000 0.0000 0.5000
0.5000 0.5000 0.2642
0.5000 0.5000 0.7358
0.0000 0.2452 0.2740
0.0000 0.2452 0.7260
0.0000 0.7548 0.2740
0.0000 0.7548 0.7260
0.5000 0.2295 0.5000
0.5000 0.2639 0.0000
0.5000 0.7361 0.0000
0.5000 0.7705 0.5000
```

Main lines, by angle (2θ from 10° to 80°):
| 2θ/deg | I_rel |
| --- | --- |
| 25.84 | 1000 |
| 26.04 | 955 |
| 30.00 | 350 |
| 43.03 | 792 |
| 50.69 | 314 |
| 51.00 | 446 |

6.
Starting from a DFT-relaxed cell (GGA-PBE, Alexandria), the X-ray diffraction stick pattern of TlHg2GeO4 was simulated for a wavelength of 1.5418 Å.
Lines closer than 0.1° are merged.

```
TlHg2GeO4
1.0
5.9785 0.0000 0.0000
0.0000 6.0705 0.0000
0.0000 0.0000 7.6709
Tl Hg Ge O
2 4 2 8
direct
0.0000 0.0000 0.0000
0.5000 0.5000 0.5000
0.0000 0.5000 0.2674
0.0000 0.5000 0.7326
0.5000 0.0000 0.2326
0.5000 0.0000 0.7674
0.0000 0.0000 0.5000
0.5000 0.5000 0.0000
0.1757 0.1717 0.3662
0.1757 0.8283 0.6338
0.3243 0.3283 0.8662
0.3243 0.6717 0.1338
0.6757 0.3283 0.1338
0.6757 0.6717 0.8662
0.8243 0.1717 0.6338
0.8243 0.8283 0.3662
```

Main lines, by angle (2θ from 10° to 80°):
| 2θ/deg | I_rel |
| --- | --- |
| 29.43 | 269 |
| 29.89 | 256 |
| 31.39 | 1000 |
| 42.44 | 242 |
| 53.44 | 230 |
| 54.01 | 223 |

7.
Starting from a DFT-relaxed cell (GGA-PBE, Alexandria), the X-ray diffraction stick pattern of La8TbPr3 was simulated for a wavelength of 1.5418 Å.
Lines closer than 0.1° are merged.

```
La8TbPr3
1.0
8.0398 -4.5211 0.0000
8.0398 4.5211 0.0000
-2.6099 0.0000 5.9888
La Tb Pr
8 1 3
direct
0.9995 0.4952 0.3491
0.0700 0.0700 0.3126
0.1703 0.1720 0.9071
0.5048 0.0005 0.6509
0.5077 0.2402 0.3642
0.7598 0.4923 0.6358
0.8280 0.8297 0.0929
0.9300 0.9300 0.6874
0.6861 0.3139 0.0000
0.2344 0.5149 0.8872
0.3031 0.6969 0.5000
0.4851 0.7656 0.1128
```

Main lines, by angle (2θ from 10° to 80°):
| 2θ/deg | I_rel |
| --- | --- |
| 29.45 | 637 |
| 29.64 | 1000 |
| 29.75 | 304 |
| 30.08 | 282 |
| 30.24 | 825 |
| 33.86 | 331 |

8.
Starting from a DFT-relaxed cell (GGA-PBE, Alexandria), the X-ray diffraction stick pattern of Zr2AlSi8 was simulated for a wavelength of 1.5418 Å.
Lines closer than 0.1° are merged.

```
Zr2AlSi8
1.0
3.7680 0.0000 0.0000
0.0000 3.7680 0.0000
0.0000 0.0000 12.8601
Zr Al Si
2 1 8
direct
0.0000 0.0000 0.1662
0.0000 0.0000 0.8338
0.0000 0.0000 0.5000
0.0000 0.5000 0.0000
0.0000 0.5000 0.3538
0.0000 0.5000 0.6462
0.5000 0.0000 0.0000
0.5000 0.0000 0.3538
0.5000 0.0000 0.6462
0.5000 0.5000 0.2185
0.5000 0.5000 0.7815
```

Main lines, by angle (2θ from 10° to 80°):
| 2θ/deg | I_rel |
| --- | --- |
| 13.77 | 183 |
| 23.61 | 295 |
| 31.61 | 378 |
| 39.84 | 1000 |
| 48.31 | 329 |
| 48.89 | 195 |